No. 1
Theoretical powder XRD pattern
Compound: K2PtC4N4Cl2
Radiation: Cu Kα
Structure: a crystal structure in OQMD, relaxed with PBE
Lines closer than 0.1° are merged.

Cell and atoms:
```
data_K2PtC4N4Cl2
_space_group_name_H-M_alt 'P 1 21/c 1'
_space_group_IT_number 14
_cell_length_a 7.093
_cell_length_b 8.917
_cell_length_c 8.450
_cell_angle_alpha 90.00
_cell_angle_beta 106.25
_cell_angle_gamma 90.00
loop_
_space_group_symop_operation_xyz
'x,y,z'
'-x,-y,-z'
'-x,y+1/2,-z+1/2'
'x,-y+1/2,z+1/2'
loop_
_atom_site_label
_atom_site_fract_x
_atom_site_fract_y
_atom_site_fract_z
K1 0.018 0.228 0.126
Pt1 0.500 0.000 0.500
C1 0.295 0.540 0.118
C2 0.305 0.551 0.784
N1 0.169 0.560 0.181
N2 0.184 0.578 0.661
Cl1 0.393 0.247 0.966
```

Largest 10 diffraction maxima, in order of falling intensity, 15 to 90 degrees two-theta:
Position (°2θ)	intensity
17.6	100
21.7	55
23.9	47
29.1	34
28.6	31
32.1	29
44.8	29
21.9	29
22.1	28
40.5	27



No. 2
Theoretical powder XRD pattern
Compound: GaAg2F5
Radiation: Cu Kα
Structure: a crystal structure in OQMD, relaxed with PBE
Lines closer than 0.1° are merged.

Cell and atoms:
```
data_GaAg2F5
_space_group_name_H-M_alt 'C m c m'
_space_group_IT_number 63
_space_group_name_Hall '-C 2c 2'
_cell_length_a 3.831
_cell_length_b 12.412
_cell_length_c 9.866
_cell_angle_alpha 90.00
_cell_angle_beta 90.00
_cell_angle_gamma 90.00
loop_
_atom_site_label
_atom_site_fract_x
_atom_site_fract_y
_atom_site_fract_z
Ga1 0.000 0.159 0.250
Ag1 0.000 0.128 0.607
F1 0.000 0.054 0.116
F2 0.000 0.266 0.112
F3 0.000 0.333 0.750
```

Largest 10 diffraction maxima, in order of falling intensity, 15 to 90 degrees two-theta:
Position (°2θ)	intensity
24.3	100
30.8	84
28.8	37
31.8	36
52.0	35
36.7	30
57.6	26
47.5	26
42.3	21
44.3	16



No. 3
Theoretical powder XRD pattern
Compound: YHoSc2Sb2
Radiation: Cu Kα
Structure: a crystal structure in OQMD, relaxed with PBE
Lines closer than 0.1° are merged.

Cell and atoms:
```
data_YHoSc2Sb2
_space_group_name_H-M_alt 'I 4 m m'
_space_group_IT_number 107
_space_group_name_Hall 'I 4 -2'
_cell_length_a 4.338
_cell_length_b 4.338
_cell_length_c 16.268
_cell_angle_alpha 90.00
_cell_angle_beta 90.00
_cell_angle_gamma 90.00
loop_
_atom_site_label
_atom_site_fract_x
_atom_site_fract_y
_atom_site_fract_z
Y1 0.000 0.000 0.000
Ho1 0.000 0.000 0.353
Sc1 0.000 0.500 0.177
Sb1 0.000 0.000 0.545
Sb2 0.000 0.000 0.808
```

Largest 10 diffraction maxima, in order of falling intensity, 15 to 90 degrees two-theta:
Position (°2θ)	intensity
36.7	100
29.1	93
34.5	76
41.6	73
31.2	68
55.1	58
33.0	30
21.9	30
54.2	30
71.3	26



No. 4
Theoretical powder XRD pattern
Compound: Mo3CSN
Radiation: Cu Kα
Structure: a crystal structure in OQMD, relaxed with PBE
Lines closer than 0.1° are merged.

Cell and atoms:
```
data_Mo3CSN
_space_group_name_H-M_alt 'P -3 m 1'
_space_group_IT_number 164
_space_group_name_Hall '-P 3 2"'
_cell_length_a 3.1529
_cell_length_b 3.1529
_cell_length_c 16.6994
_cell_angle_alpha 90.00
_cell_angle_beta 90.00
_cell_angle_gamma 120.00
loop_
_atom_site_label
_atom_site_fract_x
_atom_site_fract_y
_atom_site_fract_z
Mo1 0.0000 0.0000 0.0000
Mo2 0.0000 0.0000 0.5000
Mo3 0.3333 0.6667 0.1391
Mo4 0.3333 0.6667 0.3590
C1 0.3333 0.6667 0.5771
S1 0.0000 0.0000 0.2427
N1 0.3333 0.6667 0.9313
```

Largest 10 diffraction maxima, in order of falling intensity, 15 to 90 degrees two-theta:
Position (°2θ)	intensity
39.4	100
42.8	49
33.2	48
58.6	36
75.6	18
60.3	18
34.6	17
43.3	16
72.9	15
32.2	13